This entry pairs a crystal structure of Er2HfS5 with its computed powder diffractogram. Radiation: CuKα. Structure: a PBE-relaxed structure.

Largest 10 diffraction maxima, in order of rising 2θ, 2θ = 5–70°:
Position (°2θ), Rel. int.
24.68, 49
26.30, 100
27.43, 67
27.93, 60
35.32, 25
37.61, 63
47.35, 43
47.74, 45
54.12, 27
54.97, 28

Structure:
```
Er2HfS5
1.0
11.517 0.000 0.000
0.000 7.679 0.000
0.000 0.000 7.214
Er Hf S
8 4 20
Direct
0.178 0.003 0.024
0.178 0.497 0.024
0.322 0.503 0.524
0.322 0.997 0.524
0.678 0.003 0.476
0.678 0.497 0.476
0.822 0.503 0.976
0.822 0.997 0.976
0.006 0.750 0.575
0.494 0.250 0.075
0.506 0.750 0.925
0.994 0.250 0.425
0.003 0.750 0.948
0.095 0.036 0.661
0.095 0.464 0.661
0.181 0.750 0.332
0.207 0.250 0.311
0.293 0.750 0.811
0.319 0.250 0.832
0.405 0.536 0.161
0.405 0.964 0.161
0.497 0.250 0.448
0.503 0.750 0.552
0.595 0.036 0.839
0.595 0.464 0.839
0.681 0.750 0.168
0.707 0.250 0.189
0.793 0.750 0.689
0.819 0.250 0.668
0.905 0.536 0.339
0.905 0.964 0.339
0.997 0.250 0.052
```



This entry pairs a crystal structure of Dy3SnC with its computed powder diffractogram. Radiation: CuKα. Structure: a PBE-relaxed structure.

Largest 8 diffraction maxima, in order of rising 2θ, 2θ = 5–70°:
Position (°2θ), Rel. int.
18.14, 2
25.76, 1
31.69, 100
36.76, 54
41.28, 1
52.96, 38
63.04, 43
66.20, 13

Structure:
```
Dy3SnC
1.0
4.890 0.000 0.000
0.000 4.890 0.000
0.000 0.000 4.890
Dy Sn C
3 1 1
Direct
0.000 0.000 0.500
0.000 0.500 0.000
0.500 0.000 0.000
0.500 0.500 0.500
0.000 0.000 0.000
```



This entry pairs a crystal structure of Ba3MgIrRuO9 with its computed powder diffractogram. Radiation: CuKα. Structure: a PBE-relaxed structure.

Largest 10 diffraction maxima, in order of rising 2θ, 2θ = 5–70°:
Position (°2θ), Rel. int.
18.61, 20
30.43, 49
30.66, 100
35.80, 29
43.74, 30
47.83, 18
54.35, 19
54.50, 20
57.89, 17
63.84, 19

Structure:
```
Ba3MgIrRuO9
1.0
5.833 0.000 0.000
-2.916 5.051 0.000
0.000 0.000 14.447
Ba Mg Ir Ru O
6 2 2 2 18
Direct
0.000 0.000 0.249
0.000 0.000 0.751
0.333 0.667 0.088
0.333 0.667 0.411
0.667 0.333 0.589
0.667 0.333 0.912
0.000 0.000 0.000
0.000 0.000 0.500
0.333 0.667 0.845
0.667 0.333 0.155
0.333 0.667 0.653
0.667 0.333 0.347
0.034 0.517 0.750
0.170 0.339 0.918
0.170 0.341 0.583
0.170 0.830 0.583
0.170 0.830 0.918
0.339 0.170 0.082
0.341 0.170 0.417
0.483 0.517 0.750
0.483 0.966 0.750
0.517 0.034 0.250
0.517 0.483 0.250
0.659 0.830 0.583
0.661 0.830 0.918
0.830 0.170 0.082
0.830 0.170 0.417
0.830 0.659 0.417
0.830 0.661 0.082
0.966 0.483 0.250
```



This entry pairs a crystal structure of OsPbO3 with its computed powder diffractogram. Radiation: CuKα. Structure: a PBE-relaxed structure.

Largest 7 diffraction maxima, in order of rising 2θ, 2θ = 5–70°:
Position (°2θ), Rel. int.
29.70, 100
34.43, 42
37.63, 1
45.22, 1
49.49, 41
58.79, 45
61.68, 13

Structure:
```
OsPbO3
1.0
0.000 5.209 5.209
5.209 0.000 5.209
5.209 5.209 0.000
Os Pb O
4 4 12
Direct
0.000 0.000 0.000
0.000 0.000 0.500
0.000 0.500 0.000
0.500 0.000 0.000
0.000 0.500 0.500
0.500 0.000 0.500
0.500 0.500 0.000
0.500 0.500 0.500
0.069 0.069 0.681
0.069 0.681 0.069
0.069 0.681 0.681
0.319 0.319 0.931
0.319 0.931 0.319
0.319 0.931 0.931
0.681 0.069 0.069
0.681 0.069 0.681
0.681 0.681 0.069
0.931 0.319 0.319
0.931 0.319 0.931
0.931 0.931 0.319
```



This entry pairs a crystal structure of CuHgSBr with its computed powder diffractogram. Radiation: CuKα. Structure: a PBE-relaxed structure.

Largest 10 diffraction maxima, in order of rising 2θ, 2θ = 5–70°:
Position (°2θ), Rel. int.
9.28, 23
19.80, 28
25.22, 69
27.96, 29
28.10, 21
29.51, 50
33.81, 100
35.33, 27
44.19, 26
51.11, 25

Structure:
```
CuHgSBr
1.0
10.163 0.000 0.000
0.000 19.054 0.000
0.000 0.000 4.099
Cu Hg S Br
8 8 8 8
Direct
0.064 0.089 0.000
0.083 0.615 0.000
0.417 0.115 0.000
0.436 0.589 0.000
0.564 0.411 0.000
0.583 0.885 0.000
0.917 0.385 0.000
0.936 0.911 0.000
0.015 0.242 0.500
0.247 0.390 0.500
0.253 0.890 0.500
0.485 0.742 0.500
0.515 0.258 0.500
0.747 0.110 0.500
0.753 0.610 0.500
0.985 0.758 0.500
0.010 0.371 0.500
0.012 0.885 0.500
0.488 0.385 0.500
0.490 0.871 0.500
0.510 0.129 0.500
0.512 0.615 0.500
0.988 0.115 0.500
0.990 0.629 0.500
0.240 0.515 0.000
0.245 0.726 0.000
0.255 0.226 0.000
0.260 0.015 0.000
0.740 0.985 0.000
0.745 0.774 0.000
0.755 0.274 0.000
0.760 0.485 0.000
```



This entry pairs a crystal structure of Sr19In8N7 with its computed powder diffractogram. Radiation: CuKα. Structure: a PBE-relaxed structure.

Largest 10 diffraction maxima, in order of rising 2θ, 2θ = 5–70°:
Position (°2θ), Rel. int.
11.22, 3
15.90, 4
29.44, 100
34.12, 58
37.40, 3
44.12, 4
47.56, 2
49.03, 39
58.22, 38
61.08, 12

Structure:
```
Sr19In8N7
1.0
0.000 7.883 7.883
7.883 0.000 7.883
7.883 7.883 0.000
Sr In N
19 8 7
Direct
0.000 0.000 0.000
0.000 0.000 0.330
0.000 0.000 0.670
0.000 0.330 0.000
0.000 0.330 0.670
0.000 0.670 0.000
0.000 0.670 0.330
0.330 0.000 0.000
0.330 0.000 0.670
0.330 0.670 0.000
0.333 0.333 0.667
0.333 0.667 0.333
0.333 0.667 0.667
0.667 0.333 0.333
0.667 0.333 0.667
0.667 0.667 0.333
0.670 0.000 0.000
0.670 0.000 0.330
0.670 0.330 0.000
0.035 0.322 0.322
0.322 0.035 0.322
0.322 0.322 0.035
0.322 0.322 0.322
0.678 0.678 0.678
0.678 0.678 0.965
0.678 0.965 0.678
0.965 0.678 0.678
0.174 0.174 0.826
0.174 0.826 0.174
0.174 0.826 0.826
0.500 0.500 0.500
0.826 0.174 0.174
0.826 0.174 0.826
0.826 0.826 0.174
```



This entry pairs a crystal structure of Se2Cl2O5 with its computed powder diffractogram. Radiation: CuKα. Structure: a PBE-relaxed structure.

Largest 10 diffraction maxima, in order of rising 2θ, 2θ = 5–70°:
Position (°2θ), Rel. int.
8.28, 29
16.61, 24
24.39, 100
25.02, 19
34.24, 20
38.22, 24
49.20, 20
53.28, 14
55.66, 18
63.96, 10

Structure:
```
Se2Cl2O5
1.0
-1.852 1.852 10.676
1.852 -1.852 10.676
1.852 1.852 -10.676
Se Cl O
2 2 5
Direct
0.085 0.085 0.000
0.915 0.915 0.000
0.195 0.195 0.000
0.805 0.805 0.000
0.000 0.000 0.000
0.099 0.599 0.500
0.401 0.901 0.500
0.599 0.099 0.500
0.901 0.401 0.500
```



This entry pairs a crystal structure of Gd2Cl3 with its computed powder diffractogram. Radiation: CuKα. Structure: a PBE-relaxed structure.

Largest 10 diffraction maxima, in order of rising 2θ, 2θ = 5–70°:
Position (°2θ), Rel. int.
9.71, 43
12.26, 63
26.26, 43
26.62, 100
28.71, 53
32.62, 48
36.32, 57
37.67, 45
45.24, 29
60.03, 29

Structure:
```
Gd2Cl3
1.0
7.602 -1.971 0.000
7.602 1.971 0.000
-4.607 0.000 9.104
Gd Cl
4 6
Direct
0.090 0.090 0.445
0.362 0.362 0.204
0.638 0.638 0.796
0.910 0.910 0.555
0.158 0.158 0.010
0.270 0.270 0.381
0.451 0.451 0.769
0.549 0.549 0.231
0.730 0.730 0.619
0.842 0.842 0.990
```



This entry pairs a crystal structure of SrSm2O4 with its computed powder diffractogram. Radiation: CuKα. Structure: a PBE-relaxed structure.

Largest 10 diffraction maxima, in order of rising 2θ, 2θ = 5–70°:
Position (°2θ), Rel. int.
15.23, 35
24.99, 14
29.40, 100
30.74, 37
35.64, 26
46.85, 41
51.29, 46
53.82, 8
60.22, 13
60.99, 19

Structure:
```
SrSm2O4
1.0
0.000 5.038 5.038
5.038 0.000 5.038
5.038 5.038 0.000
Sr Sm O
2 4 8
Direct
0.125 0.125 0.125
0.875 0.875 0.875
0.000 0.500 0.500
0.500 0.000 0.500
0.500 0.500 0.000
0.500 0.500 0.500
0.265 0.265 0.265
0.265 0.265 0.704
0.265 0.704 0.265
0.296 0.735 0.735
0.704 0.265 0.265
0.735 0.296 0.735
0.735 0.735 0.296
0.735 0.735 0.735
```